# 1
Diffraction record for La4Cu4Se3SO4. The powder diffractogram is simulated, not measured: it uses a cell relaxed with PBE and Cu Kα (λ = 1.5418 Å).
No peak broadening, texture or thermal motion is included.

Crystal structure
```
La4Cu4Se3SO4
1.0
5.7351 0.0000 0.0000
0.0000 5.7351 0.0000
0.0000 0.0000 8.7480
La Cu Se S O
4 4 3 1 4
Cartesian
0.0000 0.0000 0.0000 La
0.0000 2.8676 6.2601 La
2.8676 0.0000 6.2601 La
2.8676 2.8676 8.7395 La
1.5078 1.5078 3.2130 Cu
1.5078 4.2273 3.2130 Cu
4.2273 1.5078 3.2130 Cu
4.2273 4.2273 3.2130 Cu
0.0000 0.0000 4.5801 Se
0.0000 2.8676 1.6871 Se
2.8676 0.0000 1.6871 Se
2.8676 2.8676 4.6217 S
1.4348 1.4348 7.5007 O
1.4348 4.3003 7.5007 O
4.3003 1.4348 7.5007 O
4.3003 4.3003 7.5007 O
```

Top 10 peaks for 10 to 90 degrees two-theta, by angle:
2θ/deg  d (Å)  I_rel
24.19  3.679  10
30.05  2.974  100
31.19  2.868  17
32.87  2.725  23
37.50  2.398  32
44.69  2.028  37
52.63  1.739  31
54.80  1.675  36
65.05  1.434  11
88.35  1.106  13

# 2
Diffraction record for LaCu4Sb3O12. The powder diffractogram is simulated, not measured: it uses a cell relaxed with PBE and Cu Kα (λ = 1.5418 Å).
No peak broadening, texture or thermal motion is included.

Crystal structure
```
LaCu4Sb3O12
1.0
5.4751 3.1610 2.5746
-5.4751 3.1610 2.5746
0.0000 -6.3221 2.5746
La Cu Sb O
1 4 3 12
Cartesian
0.0000 0.0000 0.0000 La
-2.1933 -3.7989 3.8619 Cu
0.0000 0.0000 3.8619 Cu
-2.1933 3.7989 3.8619 Cu
4.3866 0.0000 3.8619 Cu
-3.1281 -0.9041 2.5746 Sb
-3.1281 0.9041 5.1492 Sb
0.7811 3.1610 2.5746 Sb
-3.5641 -2.5760 3.5974 O
-4.4598 0.0000 3.8619 O
-0.4488 -4.3746 4.1264 O
-1.8916 0.0000 3.8619 O
-3.5641 2.5760 4.1264 O
2.2299 -3.8623 3.8619 O
0.9458 -1.6382 3.8619 O
-0.4488 4.3746 3.5974 O
0.9458 1.6382 3.8619 O
4.0129 -1.7986 3.5974 O
2.2299 3.8623 3.8619 O
4.0129 1.7986 4.1264 O
```

Top 10 peaks for 10 to 90 degrees two-theta, by angle:
2θ/deg  d (Å)  I_rel
22.00  4.041  31
27.43  3.251  49
28.23  3.161  37
29.84  2.994  100
36.07  2.490  39
38.65  2.330  27
48.00  1.895  29
51.07  1.788  20
53.86  1.702  30
61.02  1.519  27

# 3
Diffraction record for SrLaCuSbO6. The powder diffractogram is simulated, not measured: it uses a cell relaxed with PBE and Cu Kα (λ = 1.5418 Å).
No peak broadening, texture or thermal motion is included.

Crystal structure
```
SrLaCuSbO6
1.0
5.5123 0.0000 0.0000
0.0000 5.5626 0.0000
-5.3918 0.0000 8.7716
Sr La Cu Sb O
2 2 2 2 12
Cartesian
0.0000 1.2142 0.0000 Sr
-2.6959 4.3484 4.3858 Sr
-0.1591 1.5950 4.3297 La
-2.8550 3.9676 8.7155 La
-2.7446 1.3799 6.5759 Cu
-0.0487 4.1828 2.1901 Cu
2.6920 1.3921 2.1658 Sb
-0.0039 4.1705 6.5516 Sb
-4.2623 2.6367 7.0449 O
-1.5664 2.9259 2.6591 O
-1.2187 0.2009 2.5961 O
-3.9146 5.3617 6.9819 O
1.1504 2.6533 1.7567 O
-1.5455 2.9093 6.1425 O
-1.1708 0.2086 6.0747 O
1.5251 5.3540 1.6889 O
3.0875 1.5345 0.2271 O
0.3917 4.0281 4.6129 O
2.1926 1.3031 4.0920 O
-0.5033 4.2595 8.4778 O
```

Top 10 peaks for 10 to 90 degrees two-theta, by angle:
2θ/deg  d (Å)  I_rel
18.89  4.697  17
30.46  2.935  100
30.76  2.907  91
32.18  2.781  39
32.49  2.756  37
41.16  2.193  31
46.38  1.958  43
53.19  1.722  25
56.51  1.629  33
57.07  1.614  17